The following is a theoretical powder X-ray diffraction pattern of Rb5TaO4F2. It was derived from a crystal structure in Alexandria, relaxed with GGA-PBE, using Cu Kα (weighted mean of Kα1 and Kα2).
Peak positions follow from Bragg's law for the DFT cell and can differ from measured ones.

Principal peaks in the range 5° ≤ 2θ ≤ 70°, by intensity:
| 2θ (°) | I_rel | h k l |
| --- | --- | --- |
| 27.2 | 100.0 | 2 1 1 |
| 28.3 | 96.5 | 0 3 1 |
| 38.9 | 67.6 | 2 2 2 |
| 27.7 | 52.4 | 2 2 0 |
| 26.8 | 44.5 | 0 0 2 |
| 50.0 | 33.8 | 2 5 1 |
| 54.0 | 28.1 | 4 3 1 |
| 15.7 | 26.3 | 0 1 1 |

```
data_Rb5TaO4F2
_cell_length_a 8.0641
_cell_length_b 10.7465
_cell_length_c 6.6549
_cell_angle_alpha 90.00
_cell_angle_beta 90.00
_cell_angle_gamma 90.00
_space_group_name_H-M_alt 'A m m 2'
_space_group_IT_number 38
loop_
_space_group_symop_operation_xyz
'x,y,z'
'-x,-y,z'
'-x,y,z'
'x,-y,z'
'x,y+1/2,z+1/2'
'-x,-y+1/2,z+1/2'
'-x,y+1/2,z+1/2'
'x,-y+1/2,z+1/2'
loop_
_atom_site_label
_atom_site_type_symbol
_atom_site_fract_x
_atom_site_fract_y
_atom_site_fract_z
Rb1 Rb 0.0000 0.0000 0.0000
Rb2 Rb 0.2611 0.1836 0.4889
Ta1 Ta 0.5000 0.0000 0.0034
O1 O 0.3118 0.0000 0.1701
O2 O 0.5000 0.1419 0.8384
F1 F 0.0000 0.2075 0.7564
```